Structure and simulated powder diffractogram of K2NaMgVOF5 (a DFT-relaxed cell (GGA+U, the Materials Project); Cu Kα).
Lines closer than 0.1° are merged.

Cell and atoms:
Cell lengths 5.814, 6.197, 6.236 Å; angles 78.02, 62.23, 62.06 degrees
Sites, in units of the cell vectors:
K 0.000 0.000 0.000
K 0.474 0.725 0.326
Na 0.170 0.289 0.371
Mg 0.438 0.329 0.795
V 0.729 0.838 0.704
O 0.456 0.067 0.024
F 0.074 0.587 0.798
F 0.421 0.119 0.583
F 0.543 0.585 0.804
F 0.873 0.122 0.577
F 0.982 0.682 0.349

Principal peaks in the range 2θ = 10–80°, most intense first:
- 29.79 deg, 2.999 Å, I 100
- 48.41 deg, 1.880 Å, I 68
- 30.12 deg, 2.967 Å, I 59
- 36.69 deg, 2.450 Å, I 53
- 30.76 deg, 2.907 Å, I 52
- 16.19 deg, 5.474 Å, I 51
- 16.07 deg, 5.517 Å, I 51
- 38.58 deg, 2.334 Å, I 48
- 19.03 deg, 4.665 Å, I 45
- 29.97 deg, 2.981 Å, I 41

=====

Structure and simulated powder diffractogram of K2MnF4 (a DFT-relaxed cell (GGA+U, the Materials Project); Cu Kα).
Lines closer than 0.1° are merged.

Cell and atoms:
Cell lengths 7.370, 7.370, 7.370 Å; angles 146.48, 146.48, 48.13 degrees
Sites, in units of the cell vectors:
K 0.146 0.146 0.000
K 0.854 0.854 0.000
Mn 0.500 0.500 0.000
F 0.000 0.500 0.500
F 0.341 0.341 0.000
F 0.500 0.000 0.500
F 0.659 0.659 0.000

Principal peaks in the range 2θ = 10–80°, most intense first:
- 29.73 deg, 3.005 Å, I 100
- 28.94 deg, 3.086 Å, I 96
- 42.54 deg, 2.125 Å, I 84
- 40.21 deg, 2.243 Å, I 66
- 13.16 deg, 6.730 Å, I 65
- 59.96 deg, 1.543 Å, I 40
- 52.27 deg, 1.750 Å, I 33
- 39.63 deg, 2.274 Å, I 27
- 50.79 deg, 1.798 Å, I 26
- 61.73 deg, 1.503 Å, I 23

=====

Structure and simulated powder diffractogram of K4Mn3F12 (a DFT-relaxed cell (GGA+U, the Materials Project); Cu Kα).
Lines closer than 0.1° are merged.

Cell and atoms:
Cell lengths 10.313, 10.313, 10.313 Å; angles 131.29, 131.29, 71.35 degrees
Sites, in units of the cell vectors:
K 0.000 0.221 0.221
K 0.000 0.779 0.779
K 0.221 0.000 0.721
K 0.221 0.500 0.221
K 0.500 0.221 0.721
K 0.500 0.779 0.279
K 0.779 0.000 0.279
K 0.779 0.500 0.779
Mn 0.132 0.382 0.750
Mn 0.375 0.625 0.750
Mn 0.382 0.132 0.250
Mn 0.618 0.868 0.750
Mn 0.625 0.375 0.250
Mn 0.868 0.618 0.250
F 0.019 0.269 0.750
F 0.123 0.620 0.502
F 0.133 0.163 0.530
F 0.133 0.603 0.970
F 0.163 0.133 0.030
F 0.248 0.498 0.750
F 0.269 0.019 0.250
F 0.380 0.382 0.502
F 0.380 0.877 0.998
F 0.382 0.380 0.002
F 0.397 0.867 0.530
F 0.498 0.248 0.250
F 0.502 0.752 0.750
F 0.603 0.133 0.470
F 0.618 0.620 0.998
F 0.620 0.123 0.002
F 0.620 0.618 0.498
F 0.731 0.981 0.750
F 0.752 0.502 0.250
F 0.837 0.867 0.970
F 0.867 0.397 0.030
F 0.867 0.837 0.470
F 0.877 0.380 0.498
F 0.981 0.731 0.250

Principal peaks in the range 2θ = 10–80°, most intense first:
- 29.94 deg, 2.984 Å, I 100
- 42.51 deg, 2.126 Å, I 80
- 29.71 deg, 3.007 Å, I 49
- 36.79 deg, 2.443 Å, I 38
- 43.19 deg, 2.094 Å, I 38
- 62.21 deg, 1.492 Å, I 37
- 18.16 deg, 4.886 Å, I 36
- 52.87 deg, 1.732 Å, I 28
- 11.67 deg, 7.584 Å, I 24
- 23.99 deg, 3.709 Å, I 22

=====

Structure and simulated powder diffractogram of K3MnF6 (a DFT-relaxed cell (GGA+U, the Materials Project); Cu Kα).
Lines closer than 0.1° are merged.

Cell and atoms:
Cell lengths 6.305, 6.305, 6.305 Å; angles 60.00, 60.00, 60.00 degrees
Sites, in units of the cell vectors:
K 0.000 0.000 0.000
K 0.250 0.250 0.250
K 0.750 0.750 0.750
Mn 0.500 0.500 0.500
F 0.281 0.281 0.719
F 0.281 0.719 0.281
F 0.281 0.719 0.719
F 0.719 0.281 0.281
F 0.719 0.281 0.719
F 0.719 0.719 0.281

Principal peaks in the range 2θ = 10–80°, most intense first:
- 28.31 deg, 3.152 Å, I 100
- 40.47 deg, 2.229 Å, I 68
- 58.57 deg, 1.576 Å, I 35
- 50.12 deg, 1.820 Å, I 31
- 19.92 deg, 4.458 Å, I 20
- 66.30 deg, 1.410 Å, I 18
- 17.23 deg, 5.148 Å, I 16
- 34.86 deg, 2.574 Å, I 16
- 73.60 deg, 1.287 Å, I 10
- 53.40 deg, 1.716 Å, I 6

=====

Structure and simulated powder diffractogram of K2NaMnF6 (a DFT-relaxed cell (GGA+U, the Materials Project); Cu Kα).
Lines closer than 0.1° are merged.

Cell and atoms:
Cell lengths 5.972, 5.972, 5.972 Å; angles 60.00, 60.00, 60.00 degrees
Sites, in units of the cell vectors:
K 0.250 0.250 0.250
K 0.750 0.750 0.750
Na 0.000 0.000 0.000
Mn 0.500 0.500 0.500
F 0.268 0.268 0.732
F 0.268 0.732 0.268
F 0.268 0.732 0.732
F 0.732 0.268 0.268
F 0.732 0.268 0.732
F 0.732 0.732 0.268

Principal peaks in the range 2θ = 10–80°, most intense first:
- 29.92 deg, 2.986 Å, I 100
- 42.83 deg, 2.111 Å, I 84
- 62.18 deg, 1.493 Å, I 44
- 53.13 deg, 1.724 Å, I 34
- 18.19 deg, 4.876 Å, I 33
- 36.87 deg, 2.438 Å, I 32
- 70.52 deg, 1.335 Å, I 16
- 78.46 deg, 1.219 Å, I 13
- 21.04 deg, 4.223 Å, I 13
- 56.63 deg, 1.625 Å, I 7

=====

Structure and simulated powder diffractogram of K2NaMnF6 (a DFT-relaxed cell (GGA+U, the Materials Project); Cu Kα).
Lines closer than 0.1° are merged.

Cell and atoms:
Cell lengths 6.028, 6.028, 6.028 Å; angles 121.62, 121.62, 87.22 degrees
Sites, in units of the cell vectors:
K 0.250 0.750 0.500
K 0.750 0.250 0.500
Na 0.000 0.000 0.000
Mn 0.500 0.500 0.000
F 0.258 0.258 0.000
F 0.271 0.271 0.542
F 0.271 0.729 0.000
F 0.729 0.271 0.000
F 0.729 0.729 0.458
F 0.742 0.742 0.000

Principal peaks in the range 2θ = 10–80°, most intense first:
- 29.68 deg, 3.010 Å, I 100
- 43.54 deg, 2.079 Å, I 78
- 41.37 deg, 2.182 Å, I 48
- 30.40 deg, 2.940 Å, I 48
- 36.86 deg, 2.438 Å, I 47
- 61.62 deg, 1.505 Å, I 46
- 18.19 deg, 4.877 Å, I 45
- 53.57 deg, 1.711 Å, I 32
- 63.26 deg, 1.470 Å, I 20
- 78.44 deg, 1.219 Å, I 19